Starting from a cell relaxed with GGA-PBE, the powder X-ray diffraction pattern of Lu2NpTl was computed for Cu Kα, 1.54184 Å.

Structural model:
```
Lu2NpTl
1.0
3.3785 0.0000 0.0000
0.0000 3.3785 0.0000
0.0000 0.0000 9.1735
Lu Np Tl
2 1 1
Direct
0.0000 0.0000 0.2440
0.0000 0.0000 0.7560
0.5000 0.5000 0.5000
0.5000 0.5000 0.0000
```

Most intense lines, 2θ from 10° to 90°, in order of rising 2θ:
- 2θ 19.35, rel. 1
- 2θ 32.93, rel. 100
- 2θ 37.65, rel. 35
- 2θ 39.29, rel. 15
- 2θ 54.31, rel. 12
- 2θ 55.55, rel. 23
- 2θ 64.99, rel. 29
- 2θ 67.21, rel. 13
- 2θ 69.06, rel. 12
- 2θ 80.39, rel. 4
- 2θ 84.49, rel. 2
- 2θ 89.64, rel. 6



Starting from a cell relaxed with GGA-PBE, the powder X-ray diffraction pattern of OsI2OF was computed for Cu Kα, 1.54184 Å.

Structural model:
```
OsI2OF
1.0
5.4604 0.0000 0.0000
0.0000 5.4604 0.0000
0.0000 0.0000 3.7083
Os I O F
1 2 1 1
Direct
0.0000 0.0000 0.0000
0.0000 0.5000 0.0000
0.5000 0.0000 0.0000
0.0000 0.0000 0.5000
0.5000 0.5000 0.5000
```

Most intense lines, 2θ from 10° to 90°, in order of rising 2θ:
- 2θ 16.23, rel. 82
- 2θ 24.00, rel. 78
- 2θ 29.11, rel. 43
- 2θ 32.80, rel. 100
- 2θ 36.81, rel. 22
- 2θ 41.05, rel. 78
- 2θ 44.42, rel. 28
- 2θ 47.07, rel. 36
- 2θ 53.51, rel. 36
- 2θ 60.34, rel. 34
- 2θ 70.41, rel. 21
- 2θ 83.32, rel. 21



Starting from a cell relaxed with GGA-PBE, the powder X-ray diffraction pattern of SrAc12Pb7 was computed for Cu Kα, 1.54184 Å.

Structural model:
```
SrAc12Pb7
1.0
8.5857 4.9569 3.2176
-8.5857 4.9569 3.2176
0.0000 -9.9139 3.2176
Sr Ac Pb
1 12 7
Direct
0.0000 0.0000 0.0000
0.0000 0.2709 0.7291
0.0000 0.7291 0.2709
0.1635 0.4832 0.4832
0.2709 0.0000 0.7291
0.2709 0.7291 0.0000
0.4832 0.1635 0.4832
0.4832 0.4832 0.1635
0.5168 0.5168 0.8365
0.5168 0.8365 0.5168
0.7291 0.0000 0.2709
0.7291 0.2709 0.0000
0.8365 0.5168 0.5168
0.1368 0.1368 0.4612
0.1368 0.4612 0.1368
0.4612 0.1368 0.1368
0.5000 0.5000 0.5000
0.5388 0.8632 0.8632
0.8632 0.5388 0.8632
0.8632 0.8632 0.5388
```

Most intense lines, 2θ from 10° to 90°, in order of rising 2θ:
- 2θ 15.04, rel. 19
- 2θ 25.68, rel. 44
- 2θ 27.73, rel. 51
- 2θ 28.47, rel. 100
- 2θ 31.25, rel. 88
- 2θ 32.13, rel. 21
- 2θ 33.20, rel. 86
- 2θ 46.24, rel. 30
- 2θ 46.72, rel. 37
- 2θ 49.95, rel. 20
- 2θ 56.87, rel. 41
- 2θ 75.15, rel. 18



Starting from a cell relaxed with GGA-PBE, the powder X-ray diffraction pattern of Ho4ErPu was computed for Cu Kα, 1.54184 Å.

Structural model:
```
Ho4ErPu
1.0
3.4912 0.0000 0.0000
-0.0104 7.0091 0.0000
-1.7442 -1.7585 7.4019
Ho Er Pu
4 1 1
Direct
0.1639 0.3339 0.3274
0.1656 0.8315 0.3317
0.8344 0.1685 0.6683
0.8361 0.6661 0.6726
0.5000 0.0000 0.0000
0.5000 0.5000 0.0000
```

Most intense lines, 2θ from 10° to 90°, in order of rising 2θ:
- 2θ 31.35, rel. 100
- 2θ 36.32, rel. 34
- 2θ 36.41, rel. 17
- 2θ 52.20, rel. 6
- 2θ 52.39, rel. 30
- 2θ 62.17, rel. 11
- 2θ 62.29, rel. 14
- 2θ 62.39, rel. 18
- 2θ 65.32, rel. 6
- 2θ 65.50, rel. 6
- 2θ 85.75, rel. 9
- 2θ 88.50, rel. 6



Starting from a cell relaxed with GGA-PBE, the powder X-ray diffraction pattern of Ba3Nb2S2O5 was computed for Cu Kα, 1.54184 Å.

Structural model:
```
Ba3Nb2S2O5
1.0
-2.1223 2.1223 12.0636
2.1223 -2.1223 12.0636
2.1223 2.1223 -12.0636
Ba Nb S O
3 2 2 5
Direct
0.0000 0.0000 0.0000
0.1725 0.1725 0.0000
0.8275 0.8275 0.0000
0.4157 0.4157 0.0000
0.5843 0.5843 0.0000
0.3083 0.3083 0.0000
0.6917 0.6917 0.0000
0.0842 0.5842 0.5000
0.4158 0.9158 0.5000
0.5000 0.5000 0.0000
0.5842 0.0842 0.5000
0.9158 0.4158 0.5000
```

Most intense lines, 2θ from 10° to 90°, in order of rising 2θ:
- 2θ 28.00, rel. 97
- 2θ 29.77, rel. 100
- 2θ 33.49, rel. 59
- 2θ 37.39, rel. 30
- 2θ 42.60, rel. 54
- 2θ 45.09, rel. 16
- 2θ 51.75, rel. 36
- 2θ 54.97, rel. 24
- 2θ 55.24, rel. 27
- 2θ 61.82, rel. 17
- 2θ 63.76, rel. 22
- 2θ 70.10, rel. 19



Starting from a cell relaxed with GGA-PBE, the powder X-ray diffraction pattern of Na3BiAu2 was computed for Cu Kα, 1.54184 Å.

Structural model:
```
Na3BiAu2
1.0
4.3633 2.5192 5.4491
-4.3633 2.5192 5.4491
0.0000 -5.0383 5.4491
Na Bi Au
6 2 4
Direct
0.0730 0.7500 0.4270
0.2500 0.5730 0.9270
0.4270 0.0730 0.7500
0.5730 0.9270 0.2500
0.7500 0.4270 0.0730
0.9270 0.2500 0.5730
0.0000 0.0000 0.0000
0.5000 0.5000 0.5000
0.1691 0.1691 0.1691
0.3309 0.3309 0.3309
0.6691 0.6691 0.6691
0.8309 0.8309 0.8309
```

Most intense lines, 2θ from 10° to 90°, in order of rising 2θ:
- 2θ 20.35, rel. 100
- 2θ 32.87, rel. 9
- 2θ 35.64, rel. 36
- 2θ 38.97, rel. 51
- 2θ 41.39, rel. 17
- 2θ 49.26, rel. 18
- 2θ 53.83, rel. 20
- 2θ 55.74, rel. 15
- 2θ 66.24, rel. 22
- 2θ 72.72, rel. 7
- 2θ 80.08, rel. 7
- 2θ 88.38, rel. 11



Starting from a cell relaxed with GGA-PBE, the powder X-ray diffraction pattern of CeHoTe3 was computed for Cu Kα, 1.54184 Å.

Structural model:
```
CeHoTe3
1.0
2.1538 -7.1026 0.0000
2.1538 7.1026 0.0000
0.0000 0.0000 10.8215
Ce Ho Te
2 2 6
Direct
0.2477 0.7523 0.7500
0.7523 0.2477 0.2500
0.0000 0.0000 0.0000
0.0000 0.0000 0.5000
0.0898 0.9102 0.2500
0.3541 0.6459 0.0638
0.3541 0.6459 0.4362
0.6459 0.3541 0.5638
0.6459 0.3541 0.9362
0.9102 0.0898 0.7500
```

Most intense lines, 2θ from 10° to 90°, in order of rising 2θ:
- 2θ 20.64, rel. 54
- 2θ 27.74, rel. 70
- 2θ 28.00, rel. 85
- 2θ 29.22, rel. 100
- 2θ 32.61, rel. 98
- 2θ 33.00, rel. 53
- 2θ 33.11, rel. 35
- 2θ 39.86, rel. 36
- 2θ 41.62, rel. 100
- 2θ 41.95, rel. 58
- 2θ 51.02, rel. 54
- 2θ 60.59, rel. 41



Starting from a cell relaxed with GGA-PBE, the powder X-ray diffraction pattern of Y4Er5Tl was computed for Cu Kα, 1.54184 Å.

Structural model:
```
Y4Er5Tl
1.0
-5.2869 5.2869 2.8868
5.2869 -5.2869 2.8868
5.2869 5.2869 -2.8868
Y Er Tl
4 5 1
Direct
0.0000 0.3158 0.3158
0.0000 0.6842 0.6842
0.3158 0.0000 0.3158
0.6842 0.0000 0.6842
0.3202 0.3202 0.6302
0.3202 0.6900 0.0000
0.6900 0.3202 0.0000
0.6900 0.6900 0.3698
0.7949 0.7949 0.0000
0.2762 0.2762 0.0000
```

Most intense lines, 2θ from 10° to 90°, in order of rising 2θ:
- 2θ 11.84, rel. 43
- 2θ 23.80, rel. 16
- 2θ 29.70, rel. 100
- 2θ 33.27, rel. 12
- 2θ 34.30, rel. 18
- 2θ 35.43, rel. 35
- 2θ 36.04, rel. 51
- 2θ 41.32, rel. 21
- 2θ 51.88, rel. 15
- 2θ 54.31, rel. 17
- 2θ 60.27, rel. 22
- 2θ 60.93, rel. 17



Starting from a cell relaxed with GGA-PBE, the powder X-ray diffraction pattern of YNi6B was computed for Cu Kα, 1.54184 Å.

Structural model:
```
YNi6B
1.0
2.6494 1.5297 4.2671
-2.6494 1.5297 4.2671
0.0000 -3.0593 4.2671
Y Ni B
1 6 1
Direct
0.0000 0.0000 0.0000
0.0611 0.6051 0.6051
0.3949 0.3949 0.9389
0.3949 0.9389 0.3949
0.6051 0.0611 0.6051
0.6051 0.6051 0.0611
0.9389 0.3949 0.3949
0.5000 0.5000 0.5000
```

Most intense lines, 2θ from 10° to 90°, in order of rising 2θ:
- 2θ 34.16, rel. 47
- 2θ 39.92, rel. 100
- 2θ 40.06, rel. 12
- 2θ 40.34, rel. 23
- 2θ 41.82, rel. 35
- 2θ 42.36, rel. 14
- 2θ 53.64, rel. 19
- 2θ 55.28, rel. 21
- 2θ 64.94, rel. 14
- 2θ 71.18, rel. 20
- 2θ 75.55, rel. 9
- 2θ 87.20, rel. 10



Starting from a cell relaxed with GGA-PBE, the powder X-ray diffraction pattern of LaEr3Te4 was computed for Cu Kα, 1.54184 Å.

Structural model:
```
LaEr3Te4
1.0
4.3096 0.0000 0.0000
0.0000 8.9294 0.0000
0.0000 0.0000 12.4111
La Er Te
2 6 8
Direct
0.0000 0.0000 0.0000
0.0000 0.5000 0.5000
0.0000 0.0000 0.5001
0.0000 0.5000 0.0001
0.5000 0.2501 0.2503
0.5000 0.2499 0.7503
0.5000 0.7499 0.2503
0.5000 0.7501 0.7503
0.0000 0.0000 0.2566
0.0000 0.0000 0.7436
0.0000 0.5000 0.2436
0.0000 0.5000 0.7566
0.5000 0.2368 0.5003
0.5000 0.2632 0.0003
0.5000 0.7368 0.0003
0.5000 0.7632 0.5003
```

Most intense lines, 2θ from 10° to 90°, in order of rising 2θ:
- 2θ 28.79, rel. 100
- 2θ 40.41, rel. 13
- 2θ 41.16, rel. 50
- 2θ 41.93, rel. 12
- 2θ 50.36, rel. 14
- 2θ 51.65, rel. 13
- 2θ 59.62, rel. 13
- 2θ 66.46, rel. 6
- 2θ 67.53, rel. 23
- 2θ 68.63, rel. 6
- 2θ 73.99, rel. 8
- 2θ 76.06, rel. 8



Starting from a cell relaxed with GGA-PBE, the powder X-ray diffraction pattern of Nd5Te2C was computed for Cu Kα, 1.54184 Å.

Structural model:
```
Nd5Te2C
1.0
2.9372 -5.9487 0.0000
2.9372 5.9487 0.0000
0.0000 0.0000 14.6308
Nd Te C
10 4 2
Direct
0.0679 0.9321 0.6352
0.0679 0.9321 0.8648
0.2904 0.7096 0.2500
0.3686 0.6314 0.6277
0.3686 0.6314 0.8723
0.6314 0.3686 0.1277
0.6314 0.3686 0.3723
0.7096 0.2904 0.7500
0.9321 0.0679 0.1352
0.9321 0.0679 0.3648
0.1859 0.8141 0.0548
0.1859 0.8141 0.4452
0.8141 0.1859 0.5548
0.8141 0.1859 0.9452
0.2261 0.7739 0.7500
0.7739 0.2261 0.2500
```

Most intense lines, 2θ from 10° to 90°, in order of rising 2θ:
- 2θ 23.59, rel. 32
- 2θ 24.33, rel. 22
- 2θ 27.82, rel. 100
- 2θ 28.65, rel. 24
- 2θ 29.80, rel. 36
- 2θ 30.43, rel. 90
- 2θ 35.08, rel. 100
- 2θ 35.35, rel. 36
- 2θ 47.32, rel. 31
- 2θ 57.13, rel. 25
- 2θ 57.68, rel. 23
- 2θ 62.27, rel. 20



Starting from a cell relaxed with GGA-PBE, the powder X-ray diffraction pattern of PaNiH3 was computed for Cu Kα, 1.54184 Å.

Structural model:
```
PaNiH3
1.0
-1.6568 1.6747 8.5735
1.6568 -1.6747 8.5735
1.6568 1.6747 -8.5735
Pa Ni H
2 2 6
Direct
0.3377 0.0877 0.2500
0.6623 0.9123 0.7500
0.0606 0.3106 0.7500
0.9394 0.6894 0.2500
0.0481 0.7981 0.2500
0.2132 0.4632 0.7500
0.4313 0.6813 0.7500
0.5687 0.3187 0.2500
0.7868 0.5368 0.2500
0.9519 0.2019 0.7500
```

Most intense lines, 2θ from 10° to 90°, in order of rising 2θ:
- 2θ 10.32, rel. 25
- 2θ 20.72, rel. 35
- 2θ 27.41, rel. 59
- 2θ 30.94, rel. 100
- 2θ 31.29, rel. 27
- 2θ 37.75, rel. 69
- 2θ 39.68, rel. 98
- 2θ 45.90, rel. 23
- 2θ 55.47, rel. 21
- 2θ 58.19, rel. 27
- 2θ 64.87, rel. 25
- 2θ 68.48, rel. 24